Record 1
Starting from a cell relaxed with GGA-PBE, the PXRD pattern of AcNdPuO6 was computed for λ = 1.5418 Å (Cu Kα).
Peak positions follow from Bragg's law for the DFT cell and can differ from measured ones.

Crystal structure
Lattice parameters (Å, degrees): 5.9790 5.9790 10.0959 90.00 90.00 120.00
Space group P-31c (No. 163)
Unique sites:
Ac1 0.0000 0.0000 0.0000 (multiplicity 2)
Nd1 0.3333 0.6667 0.2500 (multiplicity 2)
Pu1 0.3333 0.6667 0.7500 (multiplicity 2)
O1 0.0369 0.3755 0.6392 (multiplicity 12)

The 10 most intense peaks (10° ≤ 2θ ≤ 90°), low angle first:
hkl	Position (°2θ)	I_rel
1 0 2	24.6	100
1 1 0	29.9	55
0 0 4	35.6	10
2 0 2	39.1	30
1 1 4	47.1	43
2 1 2	50.0	30
3 0 0	53.1	17
3 0 4	65.5	12
4 -1 2	67.9	12
4 -2 4	73.7	11


Record 2
Starting from a cell relaxed with GGA-PBE, the PXRD pattern of Ac2NdS2O2 was computed for λ = 1.5418 Å (Cu Kα).
Peak positions follow from Bragg's law for the DFT cell and can differ from measured ones.

Crystal structure
Lattice parameters (Å, degrees): 4.5182 4.5182 15.6972 90.00 90.00 90.00
Space group I4/mmm (No. 139)
Unique sites:
Ac1 0.0000 0.0000 0.1345 (multiplicity 4)
Nd1 0.0000 0.0000 0.5000 (multiplicity 2)
S1 0.0000 0.0000 0.3212 (multiplicity 4)
O1 0.0000 0.5000 0.0000 (multiplicity 4)

The 10 most intense peaks (10° ≤ 2θ ≤ 90°), low angle first:
hkl	Position (°2θ)	I_rel
1 0 3	26.1	100
1 1 0	27.9	84
1 0 5	34.8	40
1 1 4	36.3	24
2 0 0	39.9	40
2 1 3	48.3	40
2 1 5	54.0	23
2 0 8	62.7	15
3 1 0	65.3	16
2 1 11	82.8	18


Record 3
Starting from a cell relaxed with GGA-PBE, the PXRD pattern of Ac2NdTcO8 was computed for λ = 1.5418 Å (Cu Kα).
Peak positions follow from Bragg's law for the DFT cell and can differ from measured ones.

Crystal structure
Lattice parameters (Å, degrees): 5.3501 7.1660 5.3978 90.00 90.62 90.00
Space group P2/m (No. 10)
Unique sites:
Ac1 0.0000 0.2428 0.0000 (multiplicity 2)
Nd1 0.5000 0.5000 0.5000 (multiplicity 1)
Tc1 0.5000 0.0000 0.5000 (multiplicity 1)
O1 0.1943 0.5000 0.1964 (multiplicity 2)
O2 0.2496 0.0000 0.2548 (multiplicity 2)
O3 0.3299 0.1998 0.6716 (multiplicity 4)

The 10 most intense peaks (10° ≤ 2θ ≤ 90°), low angle first:
hkl	Position (°2θ)	I_rel
1 0 -1	23.3	58
1 0 1	23.5	53
0 2 1	30.0	100
0 0 2	33.2	16
2 0 0	33.5	16
1 2 -2	45.2	21
2 2 -1	45.4	20
1 2 2	45.5	18
2 2 1	45.7	18
1 0 3	54.0	12


Record 4
Starting from a cell relaxed with GGA-PBE, the PXRD pattern of Ac2NdTe2O2 was computed for λ = 1.5418 Å (Cu Kα).
Peak positions follow from Bragg's law for the DFT cell and can differ from measured ones.

Crystal structure
Lattice parameters (Å, degrees): 4.6315 4.6315 17.2124 90.00 90.00 90.00
Space group I4/mmm (No. 139)
Unique sites:
Ac1 0.0000 0.0000 0.1162 (multiplicity 4)
Nd1 0.0000 0.0000 0.5000 (multiplicity 2)
Te1 0.0000 0.0000 0.3173 (multiplicity 4)
O1 0.0000 0.5000 0.0000 (multiplicity 4)

The 10 most intense peaks (10° ≤ 2θ ≤ 90°), low angle first:
hkl	Position (°2θ)	I_rel
0 0 4	20.6	10
1 1 0	27.2	91
1 0 5	32.4	100
1 1 4	34.4	19
2 0 0	38.9	42
2 1 5	51.5	55
2 2 0	56.2	14
3 1 0	63.5	17
3 0 5	66.4	13
3 2 5	79.7	16